Diffraction record for Zr4Ni6Rh7. The powder diffraction line list is calculated, not measured: it uses a structure optimized by DFT (GGA-PBE) and Cu Kα.
No peak broadening, texture or thermal motion is included.

Most intense lines, 2θ = 15–90°, by angle:
Position (°2θ), d (Å), intensity
27.4, 3.257, 9.1
31.7, 2.821, 6.3
39.1, 2.303, 100.0
42.4, 2.132, 24.8
45.5, 1.995, 65.1
48.4, 1.880, 5.3
53.9, 1.701, 13.9
66.3, 1.410, 35.6
73.1, 1.294, 4.7
79.7, 1.203, 27.2
81.9, 1.176, 7.9
84.1, 1.152, 10.6

Atomic structure:
```
data_Zr4Ni6Rh7
_chemical_formula_sum 'Zr4 Ni6 Rh7'
_cell_length_a 6.909
_cell_length_b 6.909
_cell_length_c 6.909
_cell_angle_alpha 109.47
_cell_angle_beta 109.47
_cell_angle_gamma 109.47
_space_group_name_H-M_alt 'P 1'
_space_group_IT_number 1
loop_
_space_group_symop_operation_xyz
'x,y,z'
loop_
_atom_site_label
_atom_site_fract_x
_atom_site_fract_y
_atom_site_fract_z
Zr1 0.000 0.000 0.500
Zr2 0.000 0.500 0.000
Zr3 0.500 0.000 0.000
Zr4 0.500 0.500 0.500
Ni1 0.000 0.300 0.300
Ni2 0.000 0.700 0.700
Ni3 0.300 0.000 0.300
Ni4 0.300 0.300 0.000
Ni5 0.700 0.000 0.700
Ni6 0.700 0.700 0.000
Rh1 0.000 0.000 0.000
Rh2 0.250 0.500 0.750
Rh3 0.250 0.750 0.500
Rh4 0.500 0.250 0.750
Rh5 0.500 0.750 0.250
Rh6 0.750 0.250 0.500
Rh7 0.750 0.500 0.250
```